PbWO4: theoretical powder diffractogram (CuKα), based on a DFT-relaxed cell (GGA+U, Alexandria).
Neutral-atom scattering factors, no anomalous dispersion.

Most intense lines, 10° ≤ 2θ ≤ 90°, sorted by position:
Position (°2θ), I (rel.), hkl
27.68, 100, 1 1 -2
27.85, 86, 2 1 0
30.56, 32, 0 2 0
36.82, 15, 3 0 -2
45.51, 15, 1 0 -4
48.58, 22, 3 2 -2
48.89, 16, 2 2 2
52.58, 16, 1 3 -2
52.68, 17, 2 3 0
54.43, 15, 1 1 4

Crystal structure
```
24
Lattice="7.932 0.000 0.000 0.000 5.850 0.000 -2.083 0.000 7.696" Properties=species:S:1:pos:R:3 pbc="T T T"
Pb 0.174 1.462 3.188
Pb -0.867 1.463 7.036
Pb 6.717 4.387 0.660
Pb 5.676 4.388 4.508
W 2.137 4.388 1.743
W 1.096 4.387 5.592
W 4.754 1.463 2.105
W 3.713 1.462 5.953
O 0.822 3.084 1.249
O -0.220 3.086 5.090
O 0.821 5.689 1.242
O -0.219 5.691 5.097
O 0.666 4.381 7.404
O 1.707 4.394 3.556
O 3.444 0.003 1.919
O 2.403 2.922 5.767
O 3.447 2.928 1.929
O 2.406 5.847 5.777
O 4.143 1.456 4.140
O 5.184 1.469 0.292
O 6.069 0.159 2.599
O 5.029 0.161 6.455
O 6.070 2.764 2.607
O 5.028 2.766 6.447
```